(1)
Structure and computed powder diffraction line list of V5Si6Mo5 (a cell relaxed with PBE; CuKα).

Most intense lines, 2θ from 10° to 80°, low angle first:
| d (Å) | intensity |
| --- | --- |
| 2.900 | 32 |
| 2.439 | 17 |
| 2.360 | 32 |
| 2.272 | 21 |
| 2.125 | 100 |
| 2.082 | 22 |
| 2.020 | 42 |
| 1.375 | 14 |
| 1.339 | 22 |
| 1.315 | 18 |

Cell and atoms:
```
16
Lattice="4.879 0.000 0.000 0.000 6.242 3.607 0.000 -6.242 3.607" Properties=species:S:1:pos:R:3 pbc="T T T"
V 0.000 0.000 0.000
V 1.212 -2.082 5.380
V 1.212 2.082 5.380
V 3.666 -2.082 5.380
V 3.666 2.082 5.380
Si 0.000 -3.769 3.932
Si 0.000 0.000 4.676
Si 0.000 3.769 3.932
Si 2.439 -2.497 3.213
Si 2.439 2.497 3.213
Si 2.439 0.000 6.100
Mo 0.000 -1.527 2.655
Mo 0.000 1.527 2.655
Mo 2.439 -1.516 0.877
Mo 2.439 1.516 0.877
Mo 2.439 0.000 3.538
```

=====

(2)
Structure and computed powder diffraction line list of Ti2MnCuNi (a cell relaxed with PBE; CuKα).

Most intense lines, 2θ from 10° to 80°, low angle first:
| d (Å) | intensity |
| --- | --- |
| 4.485 | 23 |
| 3.171 | 30 |
| 3.053 | 37 |
| 2.524 | 84 |
| 2.242 | 100 |
| 2.084 | 40 |
| 1.586 | 31 |
| 1.527 | 54 |
| 1.343 | 19 |
| 1.262 | 27 |

Cell and atoms:
```
5
Lattice="4.485 0.000 0.000 0.000 4.485 0.000 0.000 0.000 4.169" Properties=species:S:1:pos:R:3 pbc="T T T"
Ti 0.000 2.242 0.000
Ti 2.242 0.000 0.000
Mn 0.000 0.000 2.084
Cu 2.242 2.242 2.084
Ni 0.000 0.000 0.000
```

=====

(3)
Structure and computed powder diffraction line list of NaGe2Br5 (a cell relaxed with PBE; CuKα).

Most intense lines, 2θ from 10° to 80°, low angle first:
| d (Å) | intensity |
| --- | --- |
| 6.354 | 14 |
| 4.964 | 21 |
| 4.382 | 14 |
| 3.249 | 100 |
| 3.225 | 28 |
| 2.781 | 15 |
| 2.555 | 21 |
| 2.543 | 22 |
| 2.291 | 17 |
| 2.111 | 13 |

Cell and atoms:
```
32
Lattice="11.089 0.000 0.000 0.000 7.166 0.000 -4.930 0.000 13.747" Properties=species:S:1:pos:R:3 pbc="T T T"
Na 0.000 0.000 0.000
Na -2.465 3.583 6.874
Na 5.544 0.000 0.000
Na 3.079 3.583 6.874
Ge -0.631 0.541 5.301
Ge -3.096 3.041 12.174
Ge 2.810 4.027 2.557
Ge 0.345 6.722 9.431
Ge 5.814 0.444 4.317
Ge 3.348 3.139 11.190
Ge 9.255 4.124 1.573
Ge 6.789 6.624 8.447
Br -2.573 5.004 9.465
Br -0.108 5.745 2.591
Br -1.249 1.257 7.788
Br 1.216 2.326 0.914
Br -1.151 1.472 11.847
Br 1.314 2.111 4.973
Br 3.265 5.378 0.466
Br 0.800 5.371 7.340
Br 1.345 4.826 11.334
Br 3.810 5.923 4.460
Br 2.348 1.243 9.287
Br 4.813 2.340 2.414
Br 5.358 1.795 6.408
Br 2.893 1.788 13.281
Br 4.844 5.055 8.774
Br 7.310 5.693 1.900
Br 4.942 4.840 12.833
Br 7.407 5.909 5.959
Br 6.267 1.421 11.156
Br 8.732 2.162 4.282
```

=====

(4)
Structure and computed powder diffraction line list of CuW2Se (a cell relaxed with PBE; CuKα).

Most intense lines, 2θ from 10° to 80°, low angle first:
| d (Å) | intensity |
| --- | --- |
| 8.762 | 59 |
| 2.529 | 11 |
| 2.370 | 100 |
| 2.287 | 9 |
| 2.191 | 24 |
| 2.010 | 60 |
| 1.467 | 22 |
| 1.380 | 15 |
| 1.247 | 13 |
| 1.219 | 22 |

Cell and atoms:
```
4
Lattice="1.467 0.847 8.762 -1.467 0.847 8.762 0.000 -1.694 8.762" Properties=species:S:1:pos:R:3 pbc="T T T"
Cu 0.000 0.000 0.000
W 0.000 0.000 13.206
W 0.000 0.000 19.604
Se 0.000 0.000 6.344
```

=====

(5)
Structure and computed powder diffraction line list of NdGe3Os (a cell relaxed with PBE; CuKα).

Most intense lines, 2θ from 10° to 80°, low angle first:
| d (Å) | intensity |
| --- | --- |
| 4.248 | 60 |
| 3.425 | 64 |
| 3.125 | 31 |
| 2.627 | 36 |
| 2.590 | 100 |
| 2.484 | 100 |
| 2.393 | 44 |
| 1.994 | 93 |
| 1.428 | 27 |
| 1.338 | 25 |

Cell and atoms:
```
10
Lattice="6.250 0.000 0.000 0.000 5.790 0.000 0.000 0.000 5.793" Properties=species:S:1:pos:R:3 pbc="T T T"
Nd 0.000 0.817 0.000
Nd 3.125 4.973 2.897
Ge 0.000 5.340 3.122
Ge 1.449 1.923 2.727
Ge 1.675 3.867 5.623
Ge 3.125 0.449 0.225
Ge 4.574 3.867 5.623
Ge 4.800 1.923 2.727
Os 0.000 3.554 1.567
Os 3.125 2.236 4.464
```

=====

(6)
Structure and computed powder diffraction line list of Cs2CeSnS5 (a cell relaxed with PBE; CuKα).

Most intense lines, 2θ from 10° to 80°, low angle first:
| d (Å) | intensity |
| --- | --- |
| 6.055 | 30 |
| 4.498 | 66 |
| 3.578 | 33 |
| 3.547 | 27 |
| 3.452 | 41 |
| 3.324 | 51 |
| 3.159 | 100 |
| 2.717 | 28 |
| 2.520 | 25 |
| 2.420 | 32 |

Cell and atoms:
```
18
Lattice="2.076 -10.227 0.000 2.076 10.227 0.000 0.000 0.000 15.027" Properties=species:S:1:pos:R:3 pbc="T T T"
Cs 2.076 7.742 7.513
Cs 2.076 7.485 2.214
Cs 2.076 -7.485 9.727
Cs 2.076 -7.742 0.000
Ce 2.076 6.002 12.828
Ce 2.076 -6.002 5.315
Sn 2.076 1.337 3.710
Sn 2.076 -1.337 11.223
S 2.076 9.095 12.714
S 2.076 4.039 7.001
S 2.076 3.750 3.333
S 2.076 3.540 12.435
S 2.076 0.096 1.764
S 2.076 -0.096 9.277
S 2.076 -3.540 4.922
S 2.076 -3.750 10.847
S 2.076 -4.039 14.514
S 2.076 -9.095 5.201
```

=====

Number 6 is which compound?
Cs2CeSnS5